Record 1
Structure and computed powder X-ray diffraction pattern of Th2CuB3Pt12 (a DFT-relaxed cell (GGA-PBE, Alexandria); copper Kα).
No peak broadening, texture or thermal motion is included.

Crystal structure
```
Th2CuB3Pt12
1.0
3.9730 2.2938 5.7746
-3.9730 2.2938 5.7746
0.0000 -4.5876 5.7746
Th Cu B Pt
2 1 3 12
direct
0.1121 0.1121 0.1121
0.8879 0.8879 0.8879
0.5000 0.5000 0.5000
0.0000 0.5000 0.5000
0.5000 0.0000 0.5000
0.5000 0.5000 0.0000
0.1208 0.6232 0.6232
0.1711 0.1711 0.5913
0.1711 0.5913 0.1711
0.3768 0.3768 0.8792
0.3768 0.8792 0.3768
0.4087 0.8289 0.8289
0.5913 0.1711 0.1711
0.6232 0.1208 0.6232
0.6232 0.6232 0.1208
0.8289 0.4087 0.8289
0.8289 0.8289 0.4087
0.8792 0.3768 0.3768
```

Largest 10 diffraction maxima, in order of rising 2θ, 2θ from 5° to 70°:
2θ (°)	I (rel.)
26.41	73
33.26	1000
34.88	91
36.06	124
36.81	185
45.67	454
49.75	265
57.66	157
67.79	114
69.82	90



Record 2
Structure and computed powder X-ray diffraction pattern of Cu2B2Rh3 (a DFT-relaxed cell (GGA-PBE, Alexandria); copper Kα).
No peak broadening, texture or thermal motion is included.

Crystal structure
```
Cu2B2Rh3
1.0
2.9320 0.0000 0.0000
1.4642 5.0668 0.0000
1.4608 0.4174 5.7026
Cu B Rh
2 2 3
direct
0.1490 0.0280 0.1730
0.8510 0.9720 0.8270
0.0996 0.5747 0.7259
0.9004 0.4253 0.2741
0.3655 0.2676 0.5013
0.5000 0.5000 0.0000
0.6345 0.7324 0.4987
```

Largest 10 diffraction maxima, in order of rising 2θ, 2θ from 5° to 70°:
2θ (°)	I (rel.)
31.37	305
32.60	253
34.99	211
37.88	428
39.43	168
40.07	506
40.24	1000
41.20	766
56.56	222
63.45	169



Record 3
Structure and computed powder X-ray diffraction pattern of CuB2Rh4 (a DFT-relaxed cell (GGA-PBE, Alexandria); copper Kα).
No peak broadening, texture or thermal motion is included.

Crystal structure
```
CuB2Rh4
1.0
0.0000 4.0312 5.9056
3.7944 0.0000 5.9056
3.7944 4.0312 0.0000
Cu B Rh
2 4 8
direct
0.1250 0.1250 0.1250
0.8750 0.8750 0.8750
0.0000 0.5000 0.5000
0.5000 0.0000 0.5000
0.5000 0.5000 0.0000
0.5000 0.5000 0.5000
0.1865 0.7089 0.3117
0.2911 0.8135 0.7071
0.2929 0.3117 0.7089
0.3117 0.2929 0.1865
0.6883 0.7071 0.8135
0.7071 0.6883 0.2911
0.7089 0.1865 0.2929
0.8135 0.2911 0.6883
```

Largest 10 diffraction maxima, in order of rising 2θ, 2θ from 5° to 70°:
2θ (°)	I (rel.)
27.82	317
35.88	1000
36.27	130
38.05	221
41.58	474
42.43	309
44.01	207
44.97	203
47.95	136
67.83	203



Record 4
Structure and computed powder X-ray diffraction pattern of Cu2BRu (a DFT-relaxed cell (GGA-PBE, Alexandria); copper Kα).
No peak broadening, texture or thermal motion is included.

Crystal structure
```
Cu2BRu
1.0
-1.5965 1.5965 9.2462
1.5965 -1.5965 9.2462
1.5965 1.5965 -9.2462
Cu B Ru
4 2 2
direct
0.1200 0.6250 0.9950
0.3750 0.3700 0.4950
0.6300 0.1250 0.0050
0.8750 0.8800 0.5050
0.0000 0.0000 0.0000
0.7500 0.2500 0.5000
0.2500 0.7500 0.5000
0.5000 0.5000 0.0000
```

Largest 10 diffraction maxima, in order of rising 2θ, 2θ from 5° to 70°:
2θ (°)	I (rel.)
28.37	369
31.56	319
37.20	205
38.96	580
41.16	1000
44.51	109
50.08	549
61.44	565
65.21	236
65.57	77



Record 5
Structure and computed powder X-ray diffraction pattern of CuBS2 (a DFT-relaxed cell (GGA-PBE, Alexandria); copper Kα).
No peak broadening, texture or thermal motion is included.

Crystal structure
```
CuBS2
1.0
3.9876 0.0000 0.0000
0.0000 4.7316 0.0000
-0.1713 0.0000 6.7853
Cu B S
2 2 4
direct
0.2161 0.0000 0.1514
0.7839 0.5000 0.8486
0.0715 0.1577 0.6323
0.9285 0.6577 0.3677
0.1991 0.3402 0.3997
0.2731 0.2579 0.8628
0.7269 0.7579 0.1372
0.8009 0.8402 0.6003
```

Largest 10 diffraction maxima, in order of rising 2θ, 2θ from 5° to 70°:
2θ (°)	I (rel.)
13.05	232
22.91	363
26.22	210
29.30	634
31.95	158
32.46	1000
45.51	180
46.43	207
52.12	189
52.76	251



Record 6
Structure and computed powder X-ray diffraction pattern of SrCu2BS4 (a DFT-relaxed cell (GGA-PBE, Alexandria); copper Kα).
No peak broadening, texture or thermal motion is included.

Crystal structure
```
SrCu2BS4
1.0
-3.0500 3.0500 3.8237
3.0500 -3.0500 3.8237
3.0500 3.0500 -3.8237
Sr Cu B S
1 2 1 4
direct
0.0000 0.0000 0.0000
0.2500 0.7500 0.5000
0.7500 0.2500 0.5000
0.5000 0.5000 0.0000
0.1726 0.5380 0.0000
0.4620 0.4620 0.6346
0.5380 0.1726 0.0000
0.8274 0.8274 0.3654
```

Largest 10 diffraction maxima, in order of rising 2θ, 2θ from 5° to 70°:
2θ (°)	I (rel.)
18.61	96
29.28	195
31.26	1000
34.92	355
38.27	148
41.89	288
46.20	123
53.18	404
56.84	250
68.83	86